Li2ZnSb: theoretical powder diffractogram (Cu Ka), based on a crystal structure in the Materials Project, relaxed with PBE.
Lines closer than 0.1° are merged.

Cell and atoms:
Unit cell a=4.763 b=4.763 c=4.763 alpha=60.00 beta=60.00 gamma=60.00
Sites, in units of the cell vectors:
Li  0.000  0.000  0.000
Li  0.250  0.250  0.250
Zn  0.500  0.500  0.500
Sb  0.750  0.750  0.750

Main lines, by angle (2θ = 5–70°):
2θ = 22.87°, rel. 100; 2θ = 26.47°, rel. 7; 2θ = 37.78°, rel. 94; 2θ = 44.62°, rel. 50; 2θ = 46.72°, rel. 2; 2θ = 54.49°, rel. 16; 2θ = 59.85°, rel. 20; 2θ = 61.57°, rel. 3; 2θ = 68.21°, rel. 31

---

Li3Sc: theoretical powder diffractogram (Cu Ka), based on a crystal structure in the Materials Project, relaxed with PBE.
Lines closer than 0.1° are merged.

Cell and atoms:
Unit cell a=6.231 b=6.231 c=4.933 alpha=90.00 beta=90.00 gamma=120.00
Sites, in units of the cell vectors:
Li  0.161  0.322  0.250
Li  0.161  0.839  0.250
Li  0.322  0.161  0.750
Li  0.678  0.839  0.250
Li  0.839  0.161  0.750
Li  0.839  0.678  0.750
Sc  0.333  0.667  0.750
Sc  0.667  0.333  0.250

Main lines, by angle (2θ = 5–70°):
2θ = 16.43°, rel. 40; 2θ = 24.45°, rel. 100; 2θ = 28.65°, rel. 43; 2θ = 33.20°, rel. 16; 2θ = 36.43°, rel. 17; 2θ = 38.01°, rel. 66; 2θ = 46.99°, rel. 19; 2θ = 48.28°, rel. 25; 2θ = 58.72°, rel. 12; 2θ = 66.60°, rel. 11